[1]
The following is a computed powder diffractogram of Ba7Cu3H17. It was derived from DFT lattice parameters and positions (PBE), using λ = 1.5418 Å (Cu Kα).

Structural model:
a = 11.674 Å, b = 11.674 Å, c = 7.439 Å
α = 90.00°, β = 90.00°, γ = 120.00°
Element x y z (fractional)
Ba  0.103  0.544  0.000
Ba  0.123  0.271  0.646
Ba  0.148  0.877  0.646
Ba  0.271  0.123  0.146
Ba  0.333  0.667  0.481
Ba  0.441  0.897  0.000
Ba  0.456  0.559  0.000
Ba  0.544  0.103  0.500
Ba  0.559  0.456  0.500
Ba  0.667  0.333  0.981
Ba  0.729  0.852  0.646
Ba  0.852  0.729  0.146
Ba  0.877  0.148  0.146
Ba  0.897  0.441  0.500
Cu  0.160  0.818  0.234
Cu  0.182  0.342  0.234
Cu  0.342  0.182  0.734
Cu  0.658  0.840  0.234
Cu  0.818  0.160  0.734
Cu  0.840  0.658  0.734
H  0.081  0.671  0.326
H  0.084  0.900  0.299
H  0.090  0.399  0.320
H  0.100  0.183  0.299
H  0.125  0.498  0.659
H  0.168  0.819  0.013
H  0.181  0.350  0.013
H  0.183  0.100  0.799
H  0.308  0.910  0.320
H  0.329  0.410  0.326
H  0.333  0.667  0.146
H  0.333  0.667  0.836
H  0.350  0.181  0.513
H  0.373  0.875  0.659
H  0.399  0.090  0.820
H  0.410  0.329  0.826
H  0.498  0.125  0.159
H  0.502  0.627  0.659
H  0.590  0.919  0.326
H  0.601  0.692  0.320
H  0.627  0.502  0.159
H  0.650  0.832  0.013
H  0.667  0.333  0.336
H  0.667  0.333  0.646
H  0.671  0.081  0.826
H  0.692  0.601  0.820
H  0.817  0.916  0.299
H  0.819  0.168  0.513
H  0.832  0.650  0.513
H  0.875  0.373  0.159
H  0.900  0.084  0.799
H  0.910  0.308  0.820
H  0.916  0.817  0.799
H  0.919  0.590  0.826

Top 10 peaks for 10 to 90 degrees two-theta, sorted by position:
2θ = 23.3°, d 3.821, I = 14
2θ = 25.5°, d 3.491, I = 30
2θ = 26.2°, d 3.399, I = 100
2θ = 29.1°, d 3.070, I = 17
2θ = 29.8°, d 2.996, I = 24
2θ = 30.6°, d 2.918, I = 32
2θ = 40.5°, d 2.226, I = 16
2θ = 45.4°, d 1.997, I = 21
2θ = 46.1°, d 1.968, I = 22
2θ = 46.5°, d 1.951, I = 19



[2]
The following is a computed powder diffractogram of Ba3Ho2Cu2Te10Pt. It was derived from DFT lattice parameters and positions (PBE), using λ = 1.5418 Å (Cu Kα).

Structural model:
a = 9.217 Å, b = 9.217 Å, c = 10.234 Å
α = 108.30°, β = 108.30°, γ = 46.31°
Element x y z (fractional)
Ba  0.000  0.000  0.000
Ba  0.157  0.157  0.575
Ba  0.843  0.843  0.425
Ho  0.329  0.329  0.138
Ho  0.671  0.671  0.862
Cu  0.395  0.395  0.740
Cu  0.605  0.605  0.260
Te  0.087  0.551  0.874
Te  0.230  0.730  0.289
Te  0.270  0.770  0.711
Te  0.331  0.331  0.459
Te  0.449  0.913  0.126
Te  0.551  0.087  0.874
Te  0.669  0.669  0.541
Te  0.730  0.230  0.289
Te  0.770  0.270  0.711
Te  0.913  0.449  0.126
Pt  0.500  0.500  0.500

Top 10 peaks for 10 to 90 degrees two-theta, sorted by position:
2θ = 13.4°, d 6.598, I = 44
2θ = 25.0°, d 3.565, I = 53
2θ = 29.2°, d 3.059, I = 48
2θ = 30.9°, d 2.894, I = 52
2θ = 32.5°, d 2.752, I = 100
2θ = 33.8°, d 2.655, I = 79
2θ = 34.4°, d 2.610, I = 47
2θ = 35.1°, d 2.556, I = 87
2θ = 36.2°, d 2.481, I = 70
2θ = 51.3°, d 1.782, I = 46



[3]
The following is a computed powder diffractogram of BaInCu3S4. It was derived from DFT lattice parameters and positions (PBE), using λ = 1.5418 Å (Cu Kα).

Structural model:
a = 10.638 Å, b = 6.362 Å, c = 6.362 Å
α = 116.50°, β = 90.00°, γ = 90.00°
Element x y z (fractional)
Ba  0.000  0.000  0.000
Ba  0.500  0.000  0.000
In  0.250  0.729  0.452
In  0.750  0.452  0.729
Cu  0.122  0.383  0.815
Cu  0.250  0.202  0.417
Cu  0.378  0.383  0.815
Cu  0.622  0.815  0.383
Cu  0.750  0.417  0.202
Cu  0.878  0.815  0.383
S  0.075  0.015  0.504
S  0.250  0.327  0.130
S  0.250  0.677  0.824
S  0.425  0.015  0.504
S  0.575  0.504  0.015
S  0.750  0.130  0.327
S  0.750  0.824  0.677
S  0.925  0.504  0.015

Top 10 peaks for 10 to 90 degrees two-theta, sorted by position:
2θ = 22.9°, d 3.887, I = 100
2θ = 28.1°, d 3.175, I = 61
2θ = 29.7°, d 3.010, I = 27
2θ = 31.4°, d 2.847, I = 16
2θ = 32.6°, d 2.750, I = 20
2θ = 35.8°, d 2.510, I = 35
2θ = 37.3°, d 2.411, I = 50
2θ = 37.7°, d 2.387, I = 28
2θ = 40.6°, d 2.220, I = 25
2θ = 49.0°, d 1.861, I = 19



[4]
The following is a computed powder diffractogram of BaLaCuS3. It was derived from DFT lattice parameters and positions (PBE), using λ = 1.5418 Å (Cu Kα).

Structural model:
a = 10.866 Å, b = 4.146 Å, c = 13.487 Å
α = 90.00°, β = 90.00°, γ = 90.00°
Element x y z (fractional)
Ba  0.221  0.250  0.005
Ba  0.279  0.750  0.505
Ba  0.721  0.250  0.495
Ba  0.779  0.750  0.995
La  0.016  0.750  0.263
La  0.484  0.250  0.763
La  0.516  0.750  0.237
La  0.984  0.250  0.737
Cu  0.234  0.750  0.780
Cu  0.266  0.250  0.280
Cu  0.734  0.750  0.720
Cu  0.766  0.250  0.220
S  0.053  0.750  0.878
S  0.101  0.250  0.391
S  0.239  0.250  0.682
S  0.261  0.750  0.182
S  0.399  0.750  0.891
S  0.447  0.250  0.378
S  0.553  0.750  0.622
S  0.601  0.250  0.109
S  0.739  0.250  0.818
S  0.761  0.750  0.318
S  0.899  0.750  0.609
S  0.947  0.250  0.122

Top 10 peaks for 10 to 90 degrees two-theta, sorted by position:
2θ = 13.1°, d 6.744, I = 29
2θ = 21.0°, d 4.231, I = 77
2θ = 26.4°, d 3.372, I = 46
2θ = 27.9°, d 3.201, I = 70
2θ = 30.5°, d 2.935, I = 100
2θ = 33.0°, d 2.717, I = 41
2θ = 33.7°, d 2.659, I = 70
2θ = 42.7°, d 2.115, I = 33
2θ = 43.3°, d 2.088, I = 40
2θ = 43.6°, d 2.075, I = 63



[5]
The following is a computed powder diffractogram of BaLaCuTe2Se. It was derived from DFT lattice parameters and positions (PBE), using λ = 1.5418 Å (Cu Kα).

Structural model:
a = 12.301 Å, b = 4.588 Å, c = 12.965 Å
α = 90.00°, β = 90.00°, γ = 90.00°
Element x y z (fractional)
Ba  0.199  0.250  0.011
Ba  0.301  0.750  0.511
Ba  0.699  0.250  0.489
Ba  0.801  0.750  0.989
La  0.022  0.250  0.693
La  0.478  0.750  0.193
La  0.522  0.250  0.807
La  0.978  0.750  0.307
Cu  0.245  0.750  0.788
Cu  0.255  0.250  0.288
Cu  0.745  0.750  0.712
Cu  0.755  0.250  0.212
Te  0.049  0.750  0.864
Te  0.104  0.250  0.435
Te  0.396  0.750  0.935
Te  0.451  0.250  0.364
Te  0.549  0.750  0.636
Te  0.604  0.250  0.065
Te  0.896  0.750  0.565
Te  0.951  0.250  0.136
Se  0.227  0.750  0.201
Se  0.273  0.250  0.701
Se  0.727  0.750  0.299
Se  0.773  0.250  0.799

Top 10 peaks for 10 to 90 degrees two-theta, sorted by position:
2θ = 24.9°, d 3.583, I = 43
2θ = 27.9°, d 3.199, I = 48
2θ = 28.4°, d 3.146, I = 62
2θ = 29.3°, d 3.048, I = 100
2θ = 30.0°, d 2.976, I = 75
2θ = 31.2°, d 2.868, I = 41
2θ = 32.2°, d 2.778, I = 37
2θ = 32.4°, d 2.765, I = 44
2θ = 34.7°, d 2.588, I = 60
2θ = 39.3°, d 2.294, I = 78



[6]
The following is a computed powder diffractogram of BaLaCuTeSe2. It was derived from DFT lattice parameters and positions (PBE), using λ = 1.5418 Å (Cu Kα).

Structural model:
a = 12.076 Å, b = 4.538 Å, c = 12.520 Å
α = 90.00°, β = 90.00°, γ = 90.00°
Element x y z (fractional)
Ba  0.201  0.250  0.006
Ba  0.299  0.750  0.506
Ba  0.701  0.250  0.494
Ba  0.799  0.750  0.994
La  0.012  0.250  0.679
La  0.488  0.750  0.179
La  0.512  0.250  0.821
La  0.988  0.750  0.321
Cu  0.247  0.250  0.291
Cu  0.253  0.750  0.791
Cu  0.747  0.250  0.209
Cu  0.753  0.750  0.709
Te  0.047  0.750  0.858
Te  0.453  0.250  0.358
Te  0.547  0.750  0.642
Te  0.953  0.250  0.142
Se  0.105  0.250  0.439
Se  0.225  0.750  0.204
Se  0.275  0.250  0.704
Se  0.395  0.750  0.939
Se  0.605  0.250  0.061
Se  0.725  0.750  0.296
Se  0.775  0.250  0.796
Se  0.895  0.750  0.561

Top 10 peaks for 10 to 90 degrees two-theta, sorted by position:
2θ = 25.3°, d 3.515, I = 71
2θ = 28.4°, d 3.138, I = 42
2θ = 29.6°, d 3.019, I = 32
2θ = 30.0°, d 2.977, I = 100
2θ = 30.5°, d 2.930, I = 70
2θ = 32.2°, d 2.779, I = 55
2θ = 33.0°, d 2.715, I = 82
2θ = 35.6°, d 2.519, I = 56
2θ = 39.7°, d 2.269, I = 68
2θ = 47.9°, d 1.899, I = 28



[7]
The following is a computed powder diffractogram of BaLaCuSi3. It was derived from DFT lattice parameters and positions (PBE), using λ = 1.5418 Å (Cu Kα).

Structural model:
a = 8.623 Å, b = 8.347 Å, c = 6.202 Å
α = 70.96°, β = 66.20°, γ = 42.83°
Element x y z (fractional)
Ba  0.250  0.250  0.250
Ba  0.750  0.750  0.750
La  0.240  0.760  0.240
La  0.760  0.240  0.760
Cu  0.335  0.335  0.665
Cu  0.665  0.665  0.335
Si  0.162  0.162  0.838
Si  0.173  0.665  0.827
Si  0.335  0.827  0.665
Si  0.665  0.173  0.335
Si  0.827  0.335  0.173
Si  0.838  0.838  0.162

Top 10 peaks for 10 to 90 degrees two-theta, sorted by position:
2θ = 24.5°, d 3.633, I = 14
2θ = 24.9°, d 3.577, I = 27
2θ = 31.3°, d 2.862, I = 52
2θ = 31.6°, d 2.834, I = 100
2θ = 38.8°, d 2.323, I = 21
2θ = 43.4°, d 2.086, I = 30
2θ = 44.1°, d 2.054, I = 15
2θ = 55.0°, d 1.669, I = 20
2θ = 59.6°, d 1.552, I = 23
2θ = 60.1°, d 1.539, I = 11



[8]
The following is a computed powder diffractogram of Ba2NaCu3S5. It was derived from DFT lattice parameters and positions (PBE), using λ = 1.5418 Å (Cu Kα).

Structural model:
a = 8.754 Å, b = 8.754 Å, c = 10.415 Å
α = 98.11°, β = 98.11°, γ = 36.93°
Element x y z (fractional)
Ba  0.042  0.042  0.211
Ba  0.263  0.263  0.801
Ba  0.737  0.737  0.199
Ba  0.958  0.958  0.789
Na  0.394  0.394  0.265
Na  0.606  0.606  0.735
Cu  0.088  0.574  0.510
Cu  0.264  0.736  0.500
Cu  0.426  0.912  0.490
Cu  0.574  0.088  0.510
Cu  0.736  0.264  0.500
Cu  0.912  0.426  0.490
S  0.067  0.685  0.030
S  0.097  0.097  0.619
S  0.239  0.239  0.355
S  0.315  0.933  0.970
S  0.430  0.430  0.646
S  0.570  0.570  0.354
S  0.685  0.067  0.030
S  0.761  0.761  0.645
S  0.903  0.903  0.381
S  0.933  0.315  0.970

Top 10 peaks for 10 to 90 degrees two-theta, sorted by position:
2θ = 19.3°, d 4.592, I = 34
2θ = 23.6°, d 3.775, I = 64
2θ = 26.0°, d 3.433, I = 31
2θ = 30.2°, d 2.960, I = 74
2θ = 32.9°, d 2.723, I = 61
2θ = 34.8°, d 2.579, I = 57
2θ = 35.2°, d 2.553, I = 42
2θ = 36.8°, d 2.441, I = 100
2θ = 46.5°, d 1.952, I = 48
2θ = 46.6°, d 1.948, I = 34



[9]
The following is a computed powder diffractogram of BaCu2Ni. It was derived from DFT lattice parameters and positions (PBE), using λ = 1.5418 Å (Cu Kα).

Structural model:
a = 4.827 Å, b = 4.827 Å, c = 4.827 Å
α = 60.00°, β = 60.00°, γ = 60.00°
Element x y z (fractional)
Ba  0.000  0.000  0.000
Cu  0.250  0.250  0.250
Cu  0.500  0.500  0.500
Ni  0.750  0.750  0.750

Top 10 peaks for 10 to 90 degrees two-theta, sorted by position:
2θ = 22.6°, d 3.941, I = 8
2θ = 26.1°, d 3.413, I = 5
2θ = 37.3°, d 2.413, I = 100
2θ = 44.0°, d 2.058, I = 4
2θ = 53.7°, d 1.706, I = 17
2θ = 59.0°, d 1.566, I = 2
2θ = 60.7°, d 1.526, I = 2
2θ = 67.2°, d 1.393, I = 33
2θ = 79.4°, d 1.207, I = 10
2θ = 83.9°, d 1.154, I = 2



[10]
The following is a computed powder diffractogram of Ba2CuNiP2. It was derived from DFT lattice parameters and positions (PBE), using λ = 1.5418 Å (Cu Kα).

Structural model:
a = 4.089 Å, b = 4.089 Å, c = 9.486 Å
α = 90.00°, β = 90.00°, γ = 120.00°
Element x y z (fractional)
Ba  0.000  0.000  0.245
Ba  0.000  0.000  0.755
Cu  0.333  0.667  0.500
Ni  0.667  0.333  0.000
P  0.333  0.667  0.000
P  0.667  0.333  0.500

Top 10 peaks for 10 to 90 degrees two-theta, sorted by position:
2θ = 25.1°, d 3.542, I = 18
2θ = 31.5°, d 2.838, I = 100
2θ = 37.9°, d 2.371, I = 16
2θ = 44.3°, d 2.045, I = 31
2θ = 46.1°, d 1.970, I = 7
2θ = 55.4°, d 1.659, I = 19
2θ = 59.7°, d 1.549, I = 24
2θ = 64.6°, d 1.444, I = 12
2θ = 73.5°, d 1.288, I = 17
2θ = 81.6°, d 1.179, I = 6



[11]
The following is a computed powder diffractogram of BaCuSiNi. It was derived from DFT lattice parameters and positions (PBE), using λ = 1.5418 Å (Cu Kα).

Structural model:
a = 4.108 Å, b = 4.108 Å, c = 11.249 Å
α = 90.00°, β = 90.00°, γ = 120.00°
Element x y z (fractional)
Ba  0.000  0.000  0.000
Ba  0.333  0.667  0.500
Cu  0.333  0.667  0.217
Cu  0.333  0.667  0.783
Si  0.667  0.333  0.257
Si  0.667  0.333  0.743
Ni  0.000  0.000  0.277
Ni  0.000  0.000  0.723

Top 10 peaks for 10 to 90 degrees two-theta, sorted by position:
2θ = 25.0°, d 3.558, I = 40
2θ = 26.3°, d 3.392, I = 56
2θ = 31.8°, d 2.812, I = 44
2θ = 34.8°, d 2.581, I = 100
2θ = 44.1°, d 2.054, I = 70
2θ = 55.4°, d 1.659, I = 56
2θ = 57.3°, d 1.607, I = 23
2θ = 63.5°, d 1.465, I = 27
2θ = 75.0°, d 1.266, I = 20
2θ = 89.7°, d 1.093, I = 16